(1)
Starting from a GGA-PBE-relaxed structure, the powder XRD pattern of Sc3PaNi8 was calculated for a wavelength of 1.5418 Å.

Structure:
a b c (Å): 4.9377 4.9377 8.0667
angles (deg): 90.00 90.00 120.00
Fractional positions:
Sc 0.0000 0.0000 0.0000
Sc 0.0000 0.0000 0.3653
Sc 0.3333 0.6667 0.8924
Pa 0.3333 0.6667 0.5058
Ni 0.3317 0.1658 0.6913
Ni 0.5005 0.0009 0.1902
Ni 0.5005 0.4995 0.1902
Ni 0.6667 0.3333 0.4400
Ni 0.6667 0.3333 0.9387
Ni 0.8342 0.1658 0.6913
Ni 0.8342 0.6683 0.6913
Ni 0.9991 0.4995 0.1902

Largest 12 diffraction maxima, sorted by position, 2θ = 10–80°:
| hkl | Position (°2θ) | I/Imax |
| --- | --- | --- |
| 0 0 1 | 10.97 | 45 |
| 1 0 0 | 20.77 | 28 |
| 1 0 1 | 23.55 | 48 |
| 1 0 2 | 30.47 | 34 |
| 1 1 0 | 36.39 | 37 |
| 0 1 3 | 39.59 | 78 |
| 1 1 2 | 42.95 | 100 |
| 2 0 1 | 43.80 | 82 |
| 1 2 3 | 67.63 | 31 |
| 0 0 6 | 70.00 | 26 |
| 0 2 5 | 73.54 | 27 |
| 2 2 0 | 77.29 | 22 |



(2)
Starting from a GGA-PBE-relaxed structure, the powder XRD pattern of Ac3GePd9Au2 was calculated for a wavelength of 1.5418 Å.

Structure:
a b c (Å): 7.9245 7.9245 6.4879
angles (deg): 90.00 90.00 120.00
Fractional positions:
Ac 0.0000 0.0000 0.0000
Ac 0.3333 0.6667 0.6835
Ac 0.6667 0.3333 0.3165
Ge 0.0000 0.0000 0.5000
Pd 0.0000 0.5000 0.0000
Pd 0.1552 0.3105 0.3336
Pd 0.1552 0.8448 0.3336
Pd 0.3105 0.1552 0.6664
Pd 0.5000 0.0000 0.0000
Pd 0.5000 0.5000 0.0000
Pd 0.6895 0.8448 0.3336
Pd 0.8448 0.1552 0.6664
Pd 0.8448 0.6895 0.6664
Au 0.3333 0.6667 0.1983
Au 0.6667 0.3333 0.8017

Largest 12 diffraction maxima, sorted by position, 2θ = 10–80°:
| hkl | Position (°2θ) | I/Imax |
| --- | --- | --- |
| 1 1 0 | 22.44 | 60 |
| 0 2 1 | 29.45 | 65 |
| 0 1 2 | 30.48 | 25 |
| 2 0 2 | 38.18 | 100 |
| 3 0 0 | 39.39 | 14 |
| 1 2 2 | 44.73 | 20 |
| 2 2 0 | 45.80 | 60 |
| 3 1 2 | 56.02 | 11 |
| 0 4 2 | 61.10 | 24 |
| 0 2 4 | 63.43 | 21 |
| 2 2 3 | 63.71 | 15 |
| 4 2 2 | 79.61 | 22 |



(3)
Starting from a GGA-PBE-relaxed structure, the powder XRD pattern of Ca2MgAl2Pt5 was calculated for a wavelength of 1.5418 Å.

Structure:
a b c (Å): 9.9500 9.9500 3.6265
angles (deg): 90.00 90.00 90.00
Fractional positions:
Ca 0.1749 0.3251 0.0000
Ca 0.3251 0.8251 0.0000
Ca 0.6749 0.1749 0.0000
Ca 0.8251 0.6749 0.0000
Mg 0.0000 0.0000 0.0000
Mg 0.5000 0.5000 0.0000
Al 0.1245 0.6245 0.0000
Al 0.3755 0.1245 0.0000
Al 0.6245 0.8755 0.0000
Al 0.8755 0.3755 0.0000
Pt 0.0000 0.5000 0.5000
Pt 0.0657 0.7928 0.5000
Pt 0.2072 0.0657 0.5000
Pt 0.2928 0.5657 0.5000
Pt 0.4343 0.2928 0.5000
Pt 0.5000 0.0000 0.5000
Pt 0.5657 0.7072 0.5000
Pt 0.7072 0.4343 0.5000
Pt 0.7928 0.9343 0.5000
Pt 0.9343 0.2072 0.5000

Largest 12 diffraction maxima, sorted by position, 2θ = 10–80°:
| hkl | Position (°2θ) | I/Imax |
| --- | --- | --- |
| 2 1 0 | 19.95 | 28 |
| 0 0 1 | 24.55 | 94 |
| 3 1 0 | 28.37 | 43 |
| 2 1 1 | 31.83 | 29 |
| 3 2 0 | 32.44 | 33 |
| 4 1 0 | 37.26 | 68 |
| 3 1 1 | 37.86 | 100 |
| 3 2 1 | 41.10 | 58 |
| 4 1 1 | 45.13 | 46 |
| 4 1 2 | 64.25 | 28 |
| 7 1 0 | 66.47 | 33 |
| 7 1 1 | 71.98 | 32 |